RbP4W8O32: simulated PXRD pattern (λ = 1.5418 Å (Cu Kα)), based on DFT lattice parameters and positions (PBE+U).
Neutral-atom scattering factors, no anomalous dispersion.

Structure:
Unit cell a=9.593 b=9.593 c=10.457 alpha=111.16 beta=111.16 gamma=47.43
Positions (direct):
Rb  0.000  0.000  0.000
P  0.119  0.527  0.887
P  0.473  0.881  0.113
P  0.527  0.119  0.887
P  0.881  0.473  0.113
W  0.119  0.620  0.593
W  0.142  0.641  0.244
W  0.359  0.858  0.756
W  0.380  0.881  0.407
W  0.620  0.119  0.593
W  0.641  0.142  0.244
W  0.858  0.359  0.756
W  0.881  0.380  0.407
O  0.000  0.500  0.500
O  0.041  0.486  0.153
O  0.106  0.624  0.791
O  0.123  0.123  0.772
O  0.129  0.632  0.036
O  0.131  0.131  0.399
O  0.138  0.634  0.422
O  0.232  0.757  0.697
O  0.243  0.768  0.303
O  0.311  0.311  0.875
O  0.366  0.862  0.578
O  0.368  0.871  0.964
O  0.374  0.374  0.609
O  0.376  0.894  0.209
O  0.392  0.392  0.237
O  0.486  0.041  0.153
O  0.500  0.000  0.500
O  0.514  0.959  0.847
O  0.608  0.608  0.763
O  0.624  0.106  0.791
O  0.626  0.626  0.391
O  0.632  0.129  0.036
O  0.634  0.138  0.422
O  0.689  0.689  0.125
O  0.757  0.232  0.697
O  0.768  0.243  0.303
O  0.862  0.366  0.578
O  0.869  0.869  0.601
O  0.871  0.368  0.964
O  0.877  0.877  0.228
O  0.894  0.376  0.209
O  0.959  0.514  0.847

Main lines, in order of falling intensity (15 to 90 degrees two-theta):
2theta  I/Imax
23.05  100
22.03  89
25.56  86
32.09  60
17.36  41
34.68  39
41.46  35
33.98  32